1.
Calculated XRD peak list
Compound: La2Cu2Cl
Radiation: Cu Ka
Structure: a DFT-relaxed cell (PBE, OQMD)

Principal peaks in the range 15° ≤ 2θ ≤ 90°, low angle first:
24.65°, I = 30, hkl 1 0 0; 33.22°, I = 100, hkl 1 0 2; 41.73°, I = 9, hkl 1 0 3; 43.40°, I = 37, hkl 1 1 0; 44.69°, I = 10, hkl 0 0 4; 44.88°, I = 6, hkl 1 1 1; 51.70°, I = 6, hkl 1 0 4; 55.72°, I = 22, hkl 2 0 2; 64.06°, I = 20, hkl 1 1 4; 73.15°, I = 19, hkl 2 1 2; 75.03°, I = 6, hkl 1 0 6; 79.64°, I = 6, hkl 3 0 0

Lattice parameters (Å, degrees): 4.1703 4.1703 8.1103 90.00 90.00 120.00
Space group P-6m2 (No. 187)
One atom of each set of equivalent atoms:
La 0.0000 0.0000 0.2323
Cu 0.3333 0.6667 0.0000
Cu 0.6667 0.3333 0.0000
Cl 0.6667 0.3333 0.5000

2.
Calculated XRD peak list
Compound: MgCu3Cl
Radiation: Cu Ka
Structure: a DFT-relaxed cell (PBE, OQMD)

Principal peaks in the range 15° ≤ 2θ ≤ 90°, low angle first:
18.33°, I = 36, hkl 0 0 2; 27.54°, I = 37, hkl 1 1 2; 28.97°, I = 48, hkl 2 0 0; 33.81°, I = 100, hkl 2 1 1; 34.50°, I = 26, hkl 2 0 2; 37.15°, I = 66, hkl 0 0 4; 41.44°, I = 23, hkl 2 2 0; 43.16°, I = 50, hkl 2 1 3; 46.60°, I = 43, hkl 3 1 0; 47.78°, I = 22, hkl 2 0 4; 61.04°, I = 36, hkl 3 1 4; 63.34°, I = 27, hkl 4 0 2

Lattice parameters (Å, degrees): 6.163 6.163 9.681 90.00 90.00 90.00
Space group I4/mcm (No. 140)
One atom of each set of equivalent atoms:
Mg 0.000 0.500 0.250
Cu 0.000 0.000 0.250
Cu 0.134 0.366 0.000
Cl 0.000 0.000 0.000

3.
Calculated XRD peak list
Compound: CuP4Se3Cl
Radiation: Cu Ka
Structure: a DFT-relaxed cell (PBE, OQMD)

Principal peaks in the range 15° ≤ 2θ ≤ 90°, low angle first:
18.36°, I = 47, hkl 1 1 1; 21.06°, I = 52, hkl 2 2 0; 21.62°, I = 53, hkl 3 0 0; 27.00°, I = 74, hkl 0 3 1; 27.26°, I = 54, hkl 1 3 -1; 28.68°, I = 100, hkl 2 0 -2; 29.43°, I = 51, hkl 2 3 -1; 30.01°, I = 36, hkl 4 1 0; 30.69°, I = 27, hkl 4 1 -1; 31.95°, I = 53, hkl 3 2 1; 43.63°, I = 34, hkl 1 4 2; 49.38°, I = 27, hkl 4 5 0

Lattice parameters (Å, degrees): 12.553 11.527 6.576 90.00 100.86 90.00
Space group P2_1/c (No. 14)
One atom of each set of equivalent atoms:
Cu 0.016 0.146 0.250
P 0.142 0.568 0.200
P 0.159 0.045 0.434
P 0.218 0.641 0.943
P 0.405 0.031 0.770
Se 0.280 0.521 0.461
Se 0.306 0.157 0.543
Se 0.398 0.630 0.064
Cl 0.027 0.171 0.906

4.
Calculated XRD peak list
Compound: CuPdCl6
Radiation: Cu Ka
Structure: a DFT-relaxed cell (PBE, OQMD)

Principal peaks in the range 15° ≤ 2θ ≤ 90°, low angle first:
24.42°, I = 38, hkl 0 0 2; 25.22°, I = 87, hkl 1 -1 0; 27.13°, I = 70, hkl 1 -1 1; 29.65°, I = 100, hkl 0 2 0; 32.87°, I = 76, hkl 1 1 -2; 33.84°, I = 87, hkl 1 -1 2; 35.92°, I = 32, hkl 0 2 1; 43.67°, I = 41, hkl 1 1 2; 47.45°, I = 45, hkl 1 -3 0; 48.82°, I = 32, hkl 0 2 -4; 50.50°, I = 28, hkl 2 0 -2; 51.81°, I = 36, hkl 1 3 -2

Lattice parameters (Å, degrees): 3.935 6.463 7.775 109.05 94.42 97.48
Space group P1 (No. 1)
One atom of each set of equivalent atoms:
Cu 0.000 0.000 0.000
Pd 0.508 0.501 0.004
Cl 0.005 0.001 0.504
Cl 0.176 0.440 0.225
Cl 0.385 0.115 0.843
Cl 0.506 0.501 0.503
Cl 0.631 0.885 0.164
Cl 0.839 0.561 0.782

5.
Calculated XRD peak list
Compound: Rb3Cu2Cl7
Radiation: Cu Ka
Structure: a DFT-relaxed cell (PBE, OQMD)

Principal peaks in the range 15° ≤ 2θ ≤ 90°, low angle first:
24.75°, I = 89, hkl 2 0 0; 24.99°, I = 84, hkl 1 5 1; 30.62°, I = 16, hkl 1 7 1; 32.92°, I = 64, hkl 2 6 0; 35.28°, I = 100, hkl 2 0 2; 36.00°, I = 30, hkl 0 10 0; 43.72°, I = 34, hkl 3 5 1; 44.17°, I = 16, hkl 2 10 0; 50.75°, I = 37, hkl 4 0 0; 51.29°, I = 37, hkl 2 10 2; 57.24°, I = 37, hkl 4 0 2; 63.78°, I = 19, hkl 4 10 0

Lattice parameters (Å, degrees): 7.195 24.952 7.196 90.00 90.00 90.00
Space group Ccce (No. 68, origin choice 2)
One atom of each set of equivalent atoms:
Rb 0.000 0.070 0.250
Rb 0.000 0.250 0.250
Cu 0.000 0.154 0.750
Cl 0.000 0.060 0.750
Cl 0.000 0.250 0.750
Cl 0.221 0.158 0.529

6.
Calculated XRD peak list
Compound: RbCuCl6
Radiation: Cu Ka
Structure: a DFT-relaxed cell (PBE, OQMD)

Principal peaks in the range 15° ≤ 2θ ≤ 90°, low angle first:
15.20°, I = 36, hkl 0 1 1; 20.59°, I = 35, hkl 1 0 1; 25.79°, I = 21, hkl 1 -1 0; 26.63°, I = 47, hkl 0 0 2; 27.16°, I = 100, hkl 1 2 1; 28.44°, I = 15, hkl 0 2 0; 29.17°, I = 17, hkl 1 0 2; 37.09°, I = 17, hkl 1 2 3; 37.38°, I = 30, hkl -1 2 1; 38.37°, I = 25, hkl 2 0 0; 39.68°, I = 16, hkl 1 2 -1; 54.21°, I = 12, hkl 0 4 2

Lattice parameters (Å, degrees): 5.052 7.139 7.661 63.60 71.11 72.18
Space group P1 (No. 1)
One atom of each set of equivalent atoms:
Rb 0.000 0.000 0.000
Cu 0.396 0.537 0.495
Cl 0.009 0.495 0.998
Cl 0.085 0.231 0.512
Cl 0.452 0.363 0.802
Cl 0.489 0.016 0.497
Cl 0.572 0.629 0.176
Cl 0.972 0.762 0.468

7.
Calculated XRD peak list
Compound: Rb3Cu2Cl6
Radiation: Cu Ka
Structure: a DFT-relaxed cell (PBE, OQMD)

Principal peaks in the range 15° ≤ 2θ ≤ 90°, low angle first:
25.03°, I = 100, hkl 1 0 5; 26.56°, I = 56, hkl 1 1 0; 27.39°, I = 12, hkl 1 1 2; 29.93°, I = 12, hkl 1 0 7; 33.35°, I = 80, hkl 0 0 10; 37.91°, I = 70, hkl 2 0 0; 43.12°, I = 19, hkl 1 1 10; 45.97°, I = 39, hkl 2 1 5; 51.36°, I = 30, hkl 2 0 10; 54.70°, I = 23, hkl 2 2 0; 61.80°, I = 24, hkl 3 1 0; 65.59°, I = 26, hkl 2 2 10

Lattice parameters (Å, degrees): 4.746 4.746 26.878 90.00 90.00 90.00
Space group I4/mmm (No. 139)
One atom of each set of equivalent atoms:
Rb 0.000 0.000 0.000
Rb 0.000 0.000 0.182
Cu 0.000 0.000 0.396
Cl 0.000 0.000 0.306
Cl 0.000 0.500 0.086

8.
Calculated XRD peak list
Compound: RbCuCl3
Radiation: Cu Ka
Structure: a DFT-relaxed cell (PBE, OQMD)

Principal peaks in the range 15° ≤ 2θ ≤ 90°, low angle first:
15.04°, I = 17, hkl 0 2 0; 20.60°, I = 22, hkl 1 1 1; 25.56°, I = 24, hkl 2 0 0; 26.04°, I = 48, hkl 1 3 0; 32.50°, I = 32, hkl 1 1 2; 32.63°, I = 17, hkl 0 2 2; 33.17°, I = 100, hkl 2 2 1; 33.68°, I = 36, hkl 0 4 1; 41.90°, I = 37, hkl 2 2 2; 42.31°, I = 30, hkl 0 4 2; 53.57°, I = 26, hkl 2 6 0; 63.82°, I = 15, hkl 4 4 1

Lattice parameters (Å, degrees): 6.970 11.782 6.203 90.00 90.00 90.00
Space group Pbcn (No. 60)
One atom of each set of equivalent atoms:
Rb 0.000 0.163 0.250
Cu 0.000 0.500 0.000
Cl 0.000 0.349 0.750
Cl 0.248 0.414 0.187

9.
Calculated XRD peak list
Compound: Rb2CuSbCl6
Radiation: Cu Ka
Structure: a DFT-relaxed cell (PBE, OQMD)

Principal peaks in the range 15° ≤ 2θ ≤ 90°, low angle first:
24.10°, I = 100, hkl 1 1 2; 24.90°, I = 59, hkl 2 0 0; 29.97°, I = 24, hkl 2 0 2; 33.16°, I = 48, hkl 0 0 4; 35.51°, I = 67, hkl 2 2 0; 41.91°, I = 29, hkl 2 0 4; 43.38°, I = 55, hkl 1 3 2; 49.37°, I = 49, hkl 2 2 4; 51.08°, I = 22, hkl 4 0 0; 57.64°, I = 17, hkl 4 2 0; 62.27°, I = 20, hkl 4 0 4; 68.14°, I = 20, hkl 4 2 4

Lattice parameters (Å, degrees): 7.151 7.151 10.807 90.00 90.00 90.00
Space group I4/m (No. 87)
One atom of each set of equivalent atoms:
Rb 0.000 0.500 0.250
Cu 0.000 0.000 0.000
Sb 0.000 0.000 0.500
Cl 0.000 0.000 0.254
Cl 0.193 0.282 0.000